1.
K7NbAs4: theoretical XRD peak list (copper Kα), based on a structure optimized by DFT (GGA-PBE).

Largest 8 diffraction maxima, by angle, 15° ≤ 2θ ≤ 90°:
Position (°2θ), Rel. int.
27.9, 79
28.7, 42
29.0, 100
32.1, 34
33.4, 30
33.8, 86
34.6, 67
54.4, 48

```
24
Lattice="10.373 0.000 0.000 0.000 9.261 0.000 0.000 0.000 8.417" Properties=species:S:1:pos:R:3 pbc="T T T"
K 0.000 0.308 0.000
K 0.000 3.135 6.607
K 0.000 8.270 4.323
K 2.198 4.948 4.170
K 2.252 1.541 2.796
K 2.934 7.720 7.004
K 2.989 4.313 8.378
K 5.186 0.991 0.115
K 5.186 6.126 2.398
K 5.186 8.952 4.208
K 7.384 4.313 8.378
K 7.438 7.720 7.004
K 8.121 1.541 2.796
K 8.175 4.948 4.170
Nb 0.000 6.236 1.027
Nb 5.186 3.024 5.236
As 0.000 3.794 1.693
As 0.000 6.317 6.932
As 2.100 7.472 1.828
As 3.087 1.789 6.036
As 5.186 2.944 2.724
As 5.186 5.467 5.901
As 7.286 1.789 6.036
As 8.273 7.472 1.828
```

=====

2.
K3NbAs2O9: theoretical XRD peak list (copper Kα), based on a structure optimized by DFT (GGA-PBE).

Largest 8 diffraction maxima, by angle, 15° ≤ 2θ ≤ 90°:
Position (°2θ), Rel. int.
21.0, 37
22.7, 26
27.7, 74
28.4, 100
29.6, 24
30.5, 30
31.6, 22
32.3, 56

```
60
Lattice="22.949 0.000 0.000 0.000 5.540 0.000 0.000 0.000 8.023" Properties=species:S:1:pos:R:3 pbc="T T T"
K 0.754 1.385 0.978
K 2.269 4.155 2.790
K 4.656 1.385 4.181
K 6.818 4.155 0.169
K 9.205 1.385 6.802
K 10.720 4.155 4.989
K 12.228 1.385 3.034
K 13.743 4.155 1.221
K 16.130 1.385 7.854
K 18.293 4.155 3.843
K 20.679 1.385 5.233
K 22.194 4.155 7.045
Nb 3.349 4.155 6.560
Nb 8.125 1.385 2.548
Nb 14.823 4.155 5.475
Nb 19.600 1.385 1.464
As 1.417 1.385 5.155
As 4.799 1.385 0.379
As 6.675 4.155 4.390
As 10.057 4.155 1.143
As 12.892 1.385 6.880
As 16.273 1.385 3.633
As 18.149 4.155 7.645
As 21.531 4.155 2.869
O 0.249 1.385 6.371
O 0.952 1.385 3.545
O 2.146 4.155 7.862
O 2.539 0.023 5.343
O 2.539 2.747 5.343
O 3.656 1.385 1.620
O 4.627 0.018 7.324
O 4.627 2.752 7.324
O 5.014 4.155 4.809
O 6.460 1.385 0.797
O 6.847 2.788 3.313
O 6.847 5.522 3.313
O 7.819 4.155 5.632
O 8.935 2.793 1.331
O 8.935 5.517 1.331
O 9.328 1.385 3.850
O 10.522 4.155 7.557
O 11.225 4.155 2.360
O 11.723 1.385 5.664
O 12.427 1.385 0.467
O 13.621 4.155 4.173
O 14.013 0.023 6.692
O 14.013 2.747 6.692
O 15.130 1.385 2.392
O 16.102 0.018 4.711
O 16.102 2.752 4.711
O 16.488 4.155 7.226
O 17.934 1.385 3.214
O 18.321 2.788 0.699
O 18.321 5.522 0.699
O 19.293 4.155 6.403
O 20.410 2.793 2.680
O 20.410 5.517 2.680
O 20.802 1.385 0.162
O 21.996 4.155 4.478
O 22.699 4.155 1.652
```

=====

3.
KNb4AsO13: theoretical XRD peak list (copper Kα), based on a structure optimized by DFT (GGA-PBE).

Largest 8 diffraction maxima, by angle, 15° ≤ 2θ ≤ 90°:
Position (°2θ), Rel. int.
19.0, 16
24.3, 100
27.9, 47
31.8, 32
35.2, 12
36.0, 12
51.2, 19
57.6, 14

```
38
Lattice="5.337 -5.251 0.000 5.337 5.251 0.000 0.000 0.000 10.197" Properties=species:S:1:pos:R:3 pbc="T T T"
K 5.337 4.622 5.099
K 5.337 -4.622 0.000
Nb 3.517 2.868 8.266
Nb 3.490 0.007 5.716
Nb 3.490 -0.007 0.618
Nb 7.157 2.868 8.266
Nb 3.517 -2.868 3.167
Nb 7.184 0.007 5.716
Nb 7.184 -0.007 0.618
Nb 7.157 -2.868 3.167
As 5.337 1.713 3.148
As 5.337 -1.713 8.247
O 3.961 2.720 3.175
O 2.333 0.840 1.771
O 2.333 0.829 4.540
O 5.337 3.575 8.257
O 3.740 1.654 9.675
O 3.748 1.661 6.838
O 2.333 -0.829 9.638
O 2.333 -0.840 6.869
O 6.713 2.720 3.175
O 5.337 0.721 4.581
O 5.337 0.712 1.732
O 6.926 1.661 6.838
O 6.934 1.654 9.675
O 3.740 -1.654 4.576
O 3.748 -1.661 1.740
O 5.337 -0.712 6.831
O 5.337 -0.721 9.680
O 3.961 -2.720 8.273
O 8.340 0.840 1.771
O 8.340 0.829 4.540
O 6.926 -1.661 1.740
O 6.934 -1.654 4.576
O 5.337 -3.575 3.159
O 8.340 -0.829 9.638
O 8.340 -0.840 6.869
O 6.713 -2.720 8.273
```